The following is a calculated XRD peak list of Cu3SnAu. It was derived from a DFT-relaxed cell (GGA-PBE, Alexandria), using copper Kα.
No peak broadening, texture or thermal motion is included.

```
data_Cu3SnAu
_chemical_formula_sum 'Cu12 Sn4 Au4'
_cell_length_a 6.888
_cell_length_b 6.888
_cell_length_c 6.888
_cell_angle_alpha 90.00
_cell_angle_beta 90.00
_cell_angle_gamma 90.00
_symmetry_space_group_name_H-M 'P 21 3'
_symmetry_Int_Tables_number 198
_symmetry_space_group_name_Hall 'P 2ac 2ab 3'
loop_
_atom_site_label
_atom_site_type_symbol
_atom_site_fract_x
_atom_site_fract_y
_atom_site_fract_z
Cu1 Cu 0.109 0.118 0.854
Sn1 Sn 0.245 0.745 0.755
Au1 Au 0.015 0.985 0.485
```

The 12 most intense peaks (2θ from 15° to 90°), by angle:
2θ = 22.35°, I = 30.8, (1 1 1)
2θ = 25.87°, I = 5.2, (2 0 0)
2θ = 28.98°, I = 5.8, (2 1 0)
2θ = 36.91°, I = 72.4, (2 2 0)
2θ = 41.45°, I = 7.7, (3 1 0)
2θ = 43.58°, I = 100.0, (3 1 1)
2θ = 45.62°, I = 11.4, (2 2 2)
2θ = 58.40°, I = 7.4, (3 3 1)
2θ = 66.50°, I = 25.7, (4 2 2)
2θ = 71.12°, I = 25.7, (5 1 1)
2θ = 78.56°, I = 18.1, (4 4 0)
2θ = 82.92°, I = 5.2, (5 1 3)